1.
Structure and computed X-ray powder pattern of CdFeAsOs (a crystal structure in OQMD, relaxed with PBE; λ = 1.5418 Å (Cu Kα)).
Peak positions follow from Bragg's law for the DFT cell and can differ from measured ones.

Most intense lines, 10° ≤ 2θ ≤ 90°, low angle first:
(1 1 1), 24.7 deg, 3.609 Å, intensity 22; (2 2 0), 40.8 deg, 2.210 Å, intensity 100; (3 1 1), 48.3 deg, 1.885 Å, intensity 12; (4 0 0), 59.1 deg, 1.563 Å, intensity 16; (3 3 1), 65.0 deg, 1.434 Å, intensity 5; (4 2 2), 74.3 deg, 1.276 Å, intensity 33; (5 1 1), 79.7 deg, 1.203 Å, intensity 4; (4 4 0), 88.5 deg, 1.105 Å, intensity 11

Cell and atoms:
```
data_CdFeAsOs
_chemical_formula_sum 'Cd4 Fe4 As4 Os4'
_cell_length_a 6.2516
_cell_length_b 6.2516
_cell_length_c 6.2516
_cell_angle_alpha 90.00
_cell_angle_beta 90.00
_cell_angle_gamma 90.00
_symmetry_space_group_name_H-M 'F -4 3 m'
_symmetry_Int_Tables_number 216
_symmetry_space_group_name_Hall 'F -4 2 3'
loop_
_atom_site_label
_atom_site_type_symbol
_atom_site_fract_x
_atom_site_fract_y
_atom_site_fract_z
Cd1 Cd 0.0000 0.0000 0.0000
Fe1 Fe 0.2500 0.2500 0.7500
As1 As 0.0000 0.0000 0.5000
Os1 Os 0.2500 0.2500 0.2500
```

=====

2.
Structure and computed X-ray powder pattern of AlAgBr2Cl2 (a crystal structure in OQMD, relaxed with PBE; λ = 1.5418 Å (Cu Kα)).
Peak positions follow from Bragg's law for the DFT cell and can differ from measured ones.

Most intense lines, 10° ≤ 2θ ≤ 90°, low angle first:
(0 1 0), 16.8 deg, 5.274 Å, intensity 27; (1 0 -1), 17.1 deg, 5.177 Å, intensity 100; (1 1 0), 26.8 deg, 3.332 Å, intensity 94; (1 -1 1), 27.0 deg, 3.305 Å, intensity 51; (1 1 -2), 27.4 deg, 3.259 Å, intensity 45; (1 0 -2), 29.6 deg, 3.013 Å, intensity 32; (1 2 -1), 34.4 deg, 2.607 Å, intensity 61; (0 2 -3), 46.3 deg, 1.961 Å, intensity 24

Cell and atoms:
```
data_AlAgBr2Cl2
_chemical_formula_sum 'Al1 Ag1 Br2 Cl2'
_cell_length_a 5.9903
_cell_length_b 6.0104
_cell_length_c 6.6799
_cell_angle_alpha 115.38
_cell_angle_beta 115.75
_cell_angle_gamma 90.50
_symmetry_space_group_name_H-M 'P 1'
_symmetry_Int_Tables_number 1
_symmetry_space_group_name_Hall 'P 1'
loop_
_atom_site_label
_atom_site_type_symbol
_atom_site_fract_x
_atom_site_fract_y
_atom_site_fract_z
Al1 Al 0.0000 0.0000 0.0000
Ag1 Ag 0.2446 0.7473 0.5003
Br1 Br 0.6723 0.6322 0.7612
Br2 Br 0.8666 0.3234 0.2396
Cl1 Cl 0.0788 0.1094 0.7632
Cl2 Cl 0.3399 0.9230 0.2362
```

=====

3.
Structure and computed X-ray powder pattern of Cs2ZnCl4 (a crystal structure in OQMD, relaxed with PBE; λ = 1.5418 Å (Cu Kα)).
Peak positions follow from Bragg's law for the DFT cell and can differ from measured ones.

Most intense lines, 10° ≤ 2θ ≤ 90°, low angle first:
(1 1 1), 19.9 deg, 4.472 Å, intensity 30; (1 1 -3), 20.2 deg, 4.386 Å, intensity 32; (1 2 0), 22.8 deg, 3.908 Å, intensity 45; (1 0 2), 23.1 deg, 3.857 Å, intensity 42; (2 0 -2), 23.6 deg, 3.770 Å, intensity 100; (0 3 1), 28.5 deg, 3.135 Å, intensity 49; (2 2 -1), 30.6 deg, 2.917 Å, intensity 39; (0 3 2), 30.8 deg, 2.901 Å, intensity 27

Cell and atoms:
```
data_Cs2ZnCl4
_chemical_formula_sum 'Cs8 Zn4 Cl16'
_cell_length_a 7.5399
_cell_length_b 9.6791
_cell_length_c 15.1030
_cell_angle_alpha 90.00
_cell_angle_beta 118.53
_cell_angle_gamma 90.00
_symmetry_space_group_name_H-M 'P 1 21/c 1'
_symmetry_Int_Tables_number 14
_symmetry_space_group_name_Hall '-P 2ybc'
loop_
_atom_site_label
_atom_site_type_symbol
_atom_site_fract_x
_atom_site_fract_y
_atom_site_fract_z
Cs1 Cs 0.0418 0.0080 0.3178
Cs2 Cs 0.3580 0.1301 0.0984
Zn1 Zn 0.3301 0.7259 0.0815
Cl1 Cl 0.1354 0.6723 0.4279
Cl2 Cl 0.2334 0.6903 0.6940
Cl3 Cl 0.3094 0.0081 0.5806
Cl4 Cl 0.3470 0.1973 0.8644
```